Calculated powder X-ray diffraction pattern of TbPr5SmDy2 for Cu Kα, from a structure optimized by DFT (PBE).
No peak broadening, texture or thermal motion is included.

Cell and atoms:
a b c (Å): 5.707 20.607 10.780
angles (deg): 90.00 90.00 90.00
Space group Cmc2_1 (No. 36)
Inequivalent atoms, fractional coordinates:
Tb1 0.000 0.091 0.000
Pr1 0.000 0.019 0.284
Pr2 0.000 0.112 0.565
Pr3 0.000 0.204 0.244
Pr4 0.000 0.220 0.852
Pr5 0.000 0.484 0.560
Sm1 0.000 0.300 0.550
Dy1 0.000 0.384 0.855
Dy2 0.000 0.388 0.279

The 6 most intense peaks (2θ = 10–90°), in order of rising 2θ:
2θ/deg, intensity
27.25, 14.5
29.70, 33.0
31.35, 37.8
31.50, 100.0
33.24, 12.5
55.90, 19.7